(1)
Theoretical X-ray diffraction stick pattern
Compound: MgFeP4O12
Radiation: a wavelength of 1.5418 Å
Structure: a PBE+U-relaxed structure
Intensities are scaled so that the largest is 100.

Structural model:
```
MgFeP4O12
1.0
6.016 -4.212 0.000
6.016 4.212 0.000
-4.904 0.000 8.874
Mg Fe P O
2 2 8 24
Cartesian
2.338 3.835 6.655
4.790 -3.835 2.218
0.556 2.106 4.437
3.008 -2.106 0.000
5.809 2.011 0.194
3.772 2.011 4.243
-0.276 0.081 7.149
2.176 -0.081 2.713
4.952 0.081 6.161
7.404 -0.081 1.724
3.357 -2.011 4.631
1.320 -2.011 8.680
5.177 3.160 0.871
0.842 0.627 2.859
4.403 3.160 3.566
2.600 2.257 5.183
0.070 0.650 5.823
-0.259 1.218 8.291
-1.610 -0.627 7.296
2.076 2.257 8.128
3.359 0.924 3.126
2.522 -0.650 1.386
6.221 0.924 1.311
4.936 1.218 5.019
2.193 -1.218 3.855
0.907 -0.924 7.563
4.606 0.650 7.488
3.770 -0.924 5.748
5.052 -2.257 0.746
8.739 0.627 1.577
7.387 -1.218 0.582
7.058 -0.650 3.051
4.528 -2.257 3.691
2.726 -3.160 5.308
6.287 -0.627 6.014
1.951 -3.160 8.003
```

Most intense lines, 15° ≤ 2θ ≤ 90°, by intensity:
29.24 deg, d = 3.055 Å, I = 100
24.69 deg, d = 3.606 Å, I = 30
27.51 deg, d = 3.243 Å, I = 29
20.49 deg, d = 4.335 Å, I = 25
30.49 deg, d = 2.931 Å, I = 23
34.05 deg, d = 2.633 Å, I = 22
19.07 deg, d = 4.655 Å, I = 21
18.92 deg, d = 4.690 Å, I = 21
25.83 deg, d = 3.450 Å, I = 19
42.30 deg, d = 2.136 Å, I = 19

(2)
Theoretical X-ray diffraction stick pattern
Compound: Li7Mn8B8O24
Radiation: a wavelength of 1.5418 Å
Structure: a PBE+U-relaxed structure
Intensities are scaled so that the largest is 100.

Structural model:
```
Li7Mn8B8O24
1.0
5.295 0.000 0.000
-0.015 9.039 0.000
-2.193 -4.480 10.448
Li Mn B O
7 8 8 24
Cartesian
0.000 0.000 0.000
-1.350 -0.102 7.731
0.266 -0.001 5.026
0.404 0.100 10.438
1.274 4.430 7.713
2.927 4.533 5.193
3.771 0.240 2.548
-1.354 -3.035 7.447
0.330 3.093 4.674
1.123 7.382 2.155
0.473 -2.964 10.076
1.278 1.462 7.346
2.902 -1.433 4.820
3.653 3.204 2.228
3.097 1.491 9.970
-1.385 2.990 7.334
0.283 6.069 4.712
1.010 1.481 2.133
0.517 2.975 9.972
1.225 -1.539 7.319
2.947 1.593 4.724
3.598 6.224 2.067
3.122 -1.505 9.963
-1.043 6.058 5.132
-1.641 -2.772 9.669
-1.379 -0.392 9.750
0.317 0.289 1.963
0.359 2.613 2.579
-0.034 3.066 7.009
1.414 7.471 0.104
0.825 -1.746 4.162
0.417 -0.446 7.068
1.107 5.003 4.846
0.700 -2.722 7.827
1.622 1.471 5.149
2.386 1.525 1.817
1.027 1.746 9.560
2.848 5.104 1.934
1.232 4.134 9.811
3.049 7.436 2.543
1.807 -1.366 10.403
2.592 -1.456 6.998
3.476 2.853 4.432
3.108 4.111 7.212
3.729 0.463 4.569
3.358 1.781 7.786
4.921 6.255 1.651
```

Most intense lines, 15° ≤ 2θ ≤ 90°, by intensity:
34.32 deg, d = 2.613 Å, I = 100
21.53 deg, d = 4.128 Å, I = 50
25.43 deg, d = 3.503 Å, I = 40
19.64 deg, d = 4.519 Å, I = 40
40.12 deg, d = 2.248 Å, I = 39
21.43 deg, d = 4.147 Å, I = 35
26.40 deg, d = 3.376 Å, I = 28
34.22 deg, d = 2.620 Å, I = 27
48.57 deg, d = 1.874 Å, I = 23
33.89 deg, d = 2.645 Å, I = 22

What is the formula in the second record?
Li7Mn8B8O24

Please write out number 2 again, unchanged.
Theoretical X-ray diffraction stick pattern
Compound: Li7Mn8B8O24
Radiation: a wavelength of 1.5418 Å
Structure: a PBE+U-relaxed structure
Intensities are scaled so that the largest is 100.

Structural model:
```
Li7Mn8B8O24
1.0
5.295 0.000 0.000
-0.015 9.039 0.000
-2.193 -4.480 10.448
Li Mn B O
7 8 8 24
Cartesian
0.000 0.000 0.000
-1.350 -0.102 7.731
0.266 -0.001 5.026
0.404 0.100 10.438
1.274 4.430 7.713
2.927 4.533 5.193
3.771 0.240 2.548
-1.354 -3.035 7.447
0.330 3.093 4.674
1.123 7.382 2.155
0.473 -2.964 10.076
1.278 1.462 7.346
2.902 -1.433 4.820
3.653 3.204 2.228
3.097 1.491 9.970
-1.385 2.990 7.334
0.283 6.069 4.712
1.010 1.481 2.133
0.517 2.975 9.972
1.225 -1.539 7.319
2.947 1.593 4.724
3.598 6.224 2.067
3.122 -1.505 9.963
-1.043 6.058 5.132
-1.641 -2.772 9.669
-1.379 -0.392 9.750
0.317 0.289 1.963
0.359 2.613 2.579
-0.034 3.066 7.009
1.414 7.471 0.104
0.825 -1.746 4.162
0.417 -0.446 7.068
1.107 5.003 4.846
0.700 -2.722 7.827
1.622 1.471 5.149
2.386 1.525 1.817
1.027 1.746 9.560
2.848 5.104 1.934
1.232 4.134 9.811
3.049 7.436 2.543
1.807 -1.366 10.403
2.592 -1.456 6.998
3.476 2.853 4.432
3.108 4.111 7.212
3.729 0.463 4.569
3.358 1.781 7.786
4.921 6.255 1.651
```

Most intense lines, 15° ≤ 2θ ≤ 90°, by intensity:
34.32 deg, d = 2.613 Å, I = 100
21.53 deg, d = 4.128 Å, I = 50
25.43 deg, d = 3.503 Å, I = 40
19.64 deg, d = 4.519 Å, I = 40
40.12 deg, d = 2.248 Å, I = 39
21.43 deg, d = 4.147 Å, I = 35
26.40 deg, d = 3.376 Å, I = 28
34.22 deg, d = 2.620 Å, I = 27
48.57 deg, d = 1.874 Å, I = 23
33.89 deg, d = 2.645 Å, I = 22